Sn3O4: simulated X-ray diffraction stick pattern (Cu Ka), based on a GGA-PBE-relaxed structure.

Top 12 peaks for 10° ≤ 2θ ≤ 80°, by angle:
two_theta	Rel. int.	index
15.13	385	0 1 0
19.55	910	1 1 0
29.15	1000	2 1 0
30.54	366	0 2 0
31.85	322	1 0 -2
33.10	839	0 1 2
38.70	296	2 0 2
44.71	207	1 2 -2
49.13	270	3 2 0
50.08	579	2 2 2
50.88	420	3 1 -2
55.93	232	0 3 2

Cell and atoms:
Cell lengths 7.191, 5.854, 6.104 Å; angles 90.00, 90.12, 90.00 degrees
Space group P2/c (No. 13)
Symmetry-distinct sites (fractional):
1 Sn 0.000 0.000 0.000 x2
2 Sn 0.299 0.499 0.241 x4
3 O 0.211 0.281 0.991 x4
4 O 0.229 0.267 0.492 x4


Ir5C3: simulated X-ray diffraction stick pattern (Cu Ka), based on a GGA-PBE-relaxed structure.

Top 12 peaks for 10° ≤ 2θ ≤ 80°, by angle:
two_theta	Rel. int.	index
25.74	590	2 0 0
29.83	434	0 0 1
33.68	340	1 1 1
33.86	289	0 4 0
39.80	1000	2 0 1
39.99	243	3 1 0
43.01	844	2 4 0
45.74	807	0 4 1
53.22	347	2 4 1
61.95	228	0 0 2
72.48	357	4 4 1
78.39	299	2 4 2

Cell and atoms:
Cell lengths 6.923, 10.591, 2.995 Å; angles 90.00, 90.00, 90.00 degrees
Space group Pbam (No. 55)
Symmetry-distinct sites (fractional):
1 Ir 0.000 0.000 0.000 x2
2 Ir 0.222 0.376 0.500 x4
3 Ir 0.226 0.625 0.500 x4
4 C 0.000 0.500 0.500 x2
5 C 0.248 0.250 0.000 x4


CaAg4Ru4O12: simulated X-ray diffraction stick pattern (Cu Ka), based on a GGA-PBE-relaxed structure.

Top 12 peaks for 10° ≤ 2θ ≤ 80°, by angle:
two_theta	Rel. int.	index
14.47	183	1 0 1
16.73	66	0 0 2
29.18	1000	0 2 2
33.82	252	2 2 0
36.96	176	1 2 3
44.41	256	3 0 3
48.57	308	0 4 0
48.64	61	4 0 0
50.97	62	1 2 5
57.68	236	2 4 2
62.57	118	3 2 5
67.90	74	1 2 7

Cell and atoms:
Cell lengths 7.488, 7.503, 10.602 Å; angles 90.00, 90.00, 90.00 degrees
Space group Imm2 (No. 44)
Symmetry-distinct sites (fractional):
1 Ca 0.000 0.000 0.000 x2
2 Ag 0.000 0.199 0.597 x4
3 Ag 0.198 0.000 0.399 x4
4 Ru 0.000 0.275 0.136 x4
5 Ru 0.227 0.500 0.362 x4
6 O 0.000 0.000 0.212 x2
7 O 0.000 0.000 0.787 x2
8 O 0.000 0.500 0.058 x2
9 O 0.000 0.500 0.438 x2
10 O 0.191 0.310 0.249 x8
11 O 0.212 0.212 0.999 x8


LaAg2: simulated X-ray diffraction stick pattern (Cu Ka), based on a GGA-PBE-relaxed structure.

Top 12 peaks for 10° ≤ 2θ ≤ 80°, by angle:
two_theta	Rel. int.	index
30.82	312	1 1 2
32.08	1000	1 2 1
32.42	421	0 2 2
36.69	438	2 0 0
37.59	673	1 0 3
37.82	206	0 3 1
49.76	247	2 2 2
53.74	180	2 3 1
61.52	191	1 3 4
63.21	253	3 2 1
66.67	118	3 0 3
69.80	127	1 5 2

Cell and atoms:
Cell lengths 4.898, 7.454, 8.227 Å; angles 90.00, 90.00, 90.00 degrees
Space group Imma (No. 74)
Symmetry-distinct sites (fractional):
1 La 0.000 0.250 0.038 x4
2 Ag 0.000 0.047 0.665 x8


Cr3GaS6: simulated X-ray diffraction stick pattern (Cu Ka), based on a GGA-PBE-relaxed structure.

Top 12 peaks for 10° ≤ 2θ ≤ 80°, by angle:
two_theta	Rel. int.	index
15.35	332	1 0 1
17.74	124	0 1 2
25.19	279	1 1 0
29.63	1000	1 1 3
35.92	688	0 2 4
44.38	112	2 1 4
47.23	531	0 3 3
51.71	988	2 2 0
60.74	115	4 0 1
64.57	121	4 0 4
72.63	169	4 1 3
76.16	136	0 4 8

Cell and atoms:
Cell lengths 7.0705, 7.0705, 17.3203 Å; angles 90.00, 90.00, 120.00 degrees
Space group P3m1 (No. 156)
Symmetry-distinct sites (fractional):
1 Cr 0.0000 0.0000 0.0000 x1
2 Cr 0.1696 0.3393 0.8260 x3
3 Cr 0.3136 0.1568 0.1564 x3
4 Cr 0.3333 0.6667 0.6572 x1
5 Cr 0.5045 0.0090 0.4879 x3
6 Cr 0.6667 0.3333 0.3307 x1
7 Ga 0.0000 0.0000 0.6163 x1
8 Ga 0.3333 0.6667 0.2810 x1
9 Ga 0.6667 0.3333 0.6993 x1
10 Ga 0.6667 0.3333 0.9522 x1
11 S 0.0000 0.0000 0.2330 x1
12 S 0.0000 0.0000 0.7515 x1
13 S 0.0268 0.5134 0.7443 x3
14 S 0.1545 0.3089 0.0774 x3
15 S 0.1796 0.3592 0.5719 x3
16 S 0.3068 0.1534 0.9050 x3
17 S 0.3333 0.6667 0.4177 x1
18 S 0.3333 0.6667 0.8976 x1
19 S 0.3593 0.1796 0.4125 x3
20 S 0.5130 0.0261 0.2382 x3
21 S 0.6667 0.3333 0.0851 x1
22 S 0.6667 0.3333 0.5657 x1


TeW2Se3: simulated X-ray diffraction stick pattern (Cu Ka), based on a GGA-PBE-relaxed structure.

Top 12 peaks for 10° ≤ 2θ ≤ 80°, by angle:
two_theta	Rel. int.	index
11.48	1000	0 0 5
13.78	174	0 0 6
30.55	358	1 0 0
32.72	135	1 0 5
35.89	738	1 0 8
43.43	460	0 1 13
45.20	152	1 0 14
54.28	275	1 1 0
55.67	115	1 1 5
66.79	121	0 2 8
71.93	103	2 0 13
76.63	125	1 1 21

Cell and atoms:
Cell lengths 3.3807, 3.3807, 38.5506 Å; angles 90.00, 90.00, 120.00 degrees
Space group P3m1 (No. 156)
Symmetry-distinct sites (fractional):
1 Te 0.0000 0.0000 0.0000 x1
2 Te 0.0000 0.0000 0.0981 x1
3 W 0.0000 0.0000 0.2369 x1
4 W 0.0000 0.0000 0.8612 x1
5 W 0.6667 0.3333 0.0491 x1
6 W 0.6667 0.3333 0.6733 x1
7 Se 0.0000 0.0000 0.6302 x1
8 Se 0.0000 0.0000 0.7164 x1
9 Se 0.6667 0.3333 0.1938 x1
10 Se 0.6667 0.3333 0.2800 x1
11 Se 0.6667 0.3333 0.8180 x1
12 Se 0.6667 0.3333 0.9043 x1


CeSe2: simulated X-ray diffraction stick pattern (Cu Ka), based on a GGA-PBE-relaxed structure.

Top 12 peaks for 10° ≤ 2θ ≤ 80°, by angle:
two_theta	Rel. int.	index
22.10	259	0 0 3
22.32	789	1 0 1
36.62	1000	1 0 4
36.90	975	1 1 0
43.19	145	0 1 5
43.44	260	1 1 3
43.56	134	0 2 1
52.97	340	0 2 4
58.38	112	2 1 1
65.75	177	0 1 8
66.31	341	2 1 4
66.49	168	3 0 0

Cell and atoms:
Cell lengths 4.8713, 4.8713, 12.0657 Å; angles 90.00, 90.00, 120.00 degrees
Space group P3_221 (No. 154)
Symmetry-distinct sites (fractional):
1 Ce 0.0000 0.6570 0.3333 x3
2 Se 0.0089 0.6752 0.0841 x6


Tl3H: simulated X-ray diffraction stick pattern (Cu Ka), based on a GGA-PBE-relaxed structure.

Top 12 peaks for 10° ≤ 2θ ≤ 80°, by angle:
two_theta	Rel. int.	index
17.85	117	0 0 2
21.07	319	1 0 1
32.62	1000	1 1 2
33.19	104	1 0 3
36.15	191	0 0 4
38.67	318	2 0 0
44.44	94	2 1 1
53.97	246	2 0 4
55.84	111	2 2 0
62.79	157	1 1 6
66.18	268	3 1 2
68.34	122	2 2 4

Cell and atoms:
Cell lengths 4.657, 4.657, 9.939 Å; angles 90.00, 90.00, 90.00 degrees
Space group I4/mmm (No. 139)
Symmetry-distinct sites (fractional):
1 Tl 0.000 0.000 0.000 x2
2 Tl 0.000 0.500 0.250 x4
3 H 0.000 0.000 0.500 x2


BaPuO3: simulated X-ray diffraction stick pattern (Cu Ka), based on a GGA-PBE-relaxed structure.

Top 12 peaks for 10° ≤ 2θ ≤ 80°, by angle:
two_theta	Rel. int.	index
20.21	155	1 0 1
28.62	197	0 0 2
28.77	1000	1 2 1
41.04	208	2 0 2
41.21	102	0 4 0
46.21	42	3 0 1
50.78	183	1 2 3
50.97	257	0 4 2
51.05	89	2 4 0
59.58	164	4 0 0
67.35	76	3 2 3
67.59	75	1 6 1

Cell and atoms:
Cell lengths 6.202, 8.762, 6.239 Å; angles 90.00, 90.00, 90.00 degrees
Space group Pnma (No. 62)
Symmetry-distinct sites (fractional):
1 Ba 0.015 0.250 0.005 x4
2 Pu 0.000 0.000 0.500 x4
3 O 0.011 0.750 0.432 x4
4 O 0.228 0.536 0.771 x8